1.
For Hf5ZrBi6, a crystal structure in Alexandria, relaxed with PBE gives the computed powder diffractogram in this record (Cu Kα (weighted mean of Kα1 and Kα2)).
Lines closer than 0.1° are merged.

abc: 7.244 7.244 7.246
angles: 98.24 98.24 118.54
Sites, in units of the cell vectors:
Hf  0.000  0.000  0.000
Hf  0.198  0.802  0.500
Hf  0.382  0.618  0.000
Hf  0.618  0.382  0.000
Hf  0.802  0.198  0.500
Zr  0.500  0.500  0.500
Bi  0.056  0.403  0.222
Bi  0.203  0.203  0.701
Bi  0.403  0.056  0.222
Bi  0.597  0.944  0.778
Bi  0.797  0.797  0.299
Bi  0.944  0.597  0.778

The 10 most intense peaks (2θ from 5° to 70°), by angle:
| 2θ (°) | d (Å) | I/Imax |
| --- | --- | --- |
| 29.61 | 3.017 | 100 |
| 30.51 | 2.930 | 63 |
| 34.55 | 2.596 | 16 |
| 38.28 | 2.352 | 15 |
| 41.09 | 2.197 | 19 |
| 42.69 | 2.118 | 39 |
| 43.38 | 2.086 | 35 |
| 43.61 | 2.075 | 12 |
| 51.46 | 1.776 | 15 |
| 54.15 | 1.694 | 12 |

2.
For MgCd6Pd5, a crystal structure in Alexandria, relaxed with PBE gives the computed powder diffractogram in this record (Cu Kα (weighted mean of Kα1 and Kα2)).
Lines closer than 0.1° are merged.

abc: 7.804 7.804 7.804
angles: 147.99 119.84 69.79
Sites, in units of the cell vectors:
Mg  0.000  0.000  0.000
Cd  0.092  0.829  0.263
Cd  0.272  0.500  0.772
Cd  0.434  0.171  0.263
Cd  0.566  0.829  0.737
Cd  0.728  0.500  0.228
Cd  0.908  0.171  0.737
Pd  0.149  0.649  0.500
Pd  0.324  0.324  0.000
Pd  0.500  0.000  0.500
Pd  0.676  0.676  0.000
Pd  0.851  0.351  0.500

The 10 most intense peaks (2θ from 5° to 70°), by angle:
| 2θ (°) | d (Å) | I/Imax |
| --- | --- | --- |
| 13.26 | 6.675 | 4 |
| 36.94 | 2.433 | 3 |
| 37.55 | 2.396 | 100 |
| 41.98 | 2.152 | 19 |
| 42.36 | 2.134 | 17 |
| 42.94 | 2.106 | 4 |
| 46.43 | 1.956 | 13 |
| 61.17 | 1.515 | 11 |
| 64.37 | 1.447 | 9 |
| 64.65 | 1.442 | 8 |

3.
For Nb2MoIr9, a crystal structure in Alexandria, relaxed with PBE gives the computed powder diffractogram in this record (Cu Kα (weighted mean of Kα1 and Kα2)).
Lines closer than 0.1° are merged.

abc: 4.815 6.226 6.797
angles: 68.17 89.99 75.25
Sites, in units of the cell vectors:
Nb  0.090  0.233  0.085
Nb  0.910  0.767  0.915
Mo  0.000  0.000  0.500
Ir  0.171  0.498  0.667
Ir  0.256  0.741  0.250
Ir  0.332  0.999  0.826
Ir  0.416  0.244  0.417
Ir  0.500  0.500  0.000
Ir  0.584  0.756  0.583
Ir  0.668  0.001  0.174
Ir  0.744  0.259  0.750
Ir  0.829  0.502  0.333

The 10 most intense peaks (2θ from 5° to 70°), by angle:
| 2θ (°) | d (Å) | I/Imax |
| --- | --- | --- |
| 39.57 | 2.277 | 50 |
| 39.75 | 2.268 | 100 |
| 39.89 | 2.260 | 49 |
| 46.10 | 1.969 | 33 |
| 46.22 | 1.964 | 33 |
| 46.34 | 1.959 | 34 |
| 67.21 | 1.393 | 21 |
| 67.43 | 1.389 | 21 |
| 67.50 | 1.388 | 11 |
| 67.79 | 1.382 | 10 |

4.
For Rb2CaGe2S6, a crystal structure in Alexandria, relaxed with PBE gives the computed powder diffractogram in this record (Cu Kα (weighted mean of Kα1 and Kα2)).
Lines closer than 0.1° are merged.

abc: 7.164 7.164 8.596
angles: 112.15 112.15 60.49
Sites, in units of the cell vectors:
Rb  0.199  0.199  0.188
Rb  0.801  0.801  0.812
Ca  0.000  0.000  0.500
Ge  0.445  0.445  0.721
Ge  0.555  0.555  0.279
S  0.201  0.705  0.221
S  0.257  0.257  0.631
S  0.295  0.799  0.779
S  0.705  0.201  0.221
S  0.743  0.743  0.369
S  0.799  0.295  0.779

The 10 most intense peaks (2θ from 5° to 70°), by angle:
| 2θ (°) | d (Å) | I/Imax |
| --- | --- | --- |
| 23.00 | 3.867 | 63 |
| 24.19 | 3.679 | 100 |
| 24.67 | 3.608 | 37 |
| 24.88 | 3.579 | 54 |
| 28.99 | 3.080 | 29 |
| 34.27 | 2.617 | 45 |
| 34.86 | 2.574 | 23 |
| 42.32 | 2.136 | 27 |
| 51.97 | 1.760 | 21 |
| 53.01 | 1.727 | 24 |

5.
For Dy2HoBiC, a crystal structure in Alexandria, relaxed with PBE gives the computed powder diffractogram in this record (Cu Kα (weighted mean of Kα1 and Kα2)).
Lines closer than 0.1° are merged.

abc: 4.929 4.929 4.893
angles: 90.00 90.00 90.00
Sites, in units of the cell vectors:
Dy  0.000  0.500  0.000
Dy  0.500  0.000  0.000
Ho  0.000  0.000  0.500
Bi  0.500  0.500  0.500
C  0.000  0.000  0.000

The 9 most intense peaks (2θ from 5° to 70°), by angle:
| 2θ (°) | d (Å) | I/Imax |
| --- | --- | --- |
| 25.62 | 3.477 | 2 |
| 31.52 | 2.839 | 100 |
| 36.46 | 2.464 | 36 |
| 36.74 | 2.446 | 18 |
| 52.51 | 1.743 | 13 |
| 52.72 | 1.736 | 25 |
| 62.54 | 1.485 | 29 |
| 62.92 | 1.477 | 14 |
| 65.80 | 1.419 | 13 |

6.
For K3Ac3AsO8, a crystal structure in Alexandria, relaxed with PBE gives the computed powder diffractogram in this record (Cu Kα (weighted mean of Kα1 and Kα2)).
Lines closer than 0.1° are merged.

abc: 7.651 7.651 7.651
angles: 57.43 57.43 57.43
Sites, in units of the cell vectors:
K  0.000  0.500  0.500
K  0.500  0.000  0.500
K  0.500  0.500  0.000
Ac  0.000  0.000  0.500
Ac  0.000  0.500  0.000
Ac  0.500  0.000  0.000
As  0.500  0.500  0.500
O  0.234  0.234  0.234
O  0.283  0.694  0.694
O  0.306  0.306  0.717
O  0.306  0.717  0.306
O  0.694  0.283  0.694
O  0.694  0.694  0.283
O  0.717  0.306  0.306
O  0.766  0.766  0.766

The 10 most intense peaks (2θ from 5° to 70°), by angle:
| 2θ (°) | d (Å) | I/Imax |
| --- | --- | --- |
| 13.91 | 6.365 | 100 |
| 28.04 | 3.183 | 29 |
| 28.42 | 3.140 | 45 |
| 29.58 | 3.020 | 63 |
| 33.84 | 2.649 | 74 |
| 43.70 | 2.071 | 21 |
| 47.62 | 1.910 | 25 |
| 49.60 | 1.838 | 25 |
| 51.77 | 1.766 | 23 |
| 57.94 | 1.592 | 27 |

Question: What is the formula in the sixth record?
Answer: K3Ac3AsO8